Structure and simulated X-ray diffraction stick pattern of PrTlW2O8 (DFT lattice parameters and positions (GGA+U); Cu Kα).

Most intense lines, 2θ from 10° to 80°, by intensity:
Position (°2θ)  I_rel
26.48  100
28.67  78
32.58  35
30.99  31
45.58  18
32.34  17
27.45  16
54.95  15
52.66  14
47.83  13

Crystal structure
a b c (Å): 7.8309 7.8309 7.5622
angles (deg): 117.40 117.40 89.20
Sites, in units of the cell vectors:
Pr 0.2242 0.7758 0.7500
Pr 0.7758 0.2242 0.2500
Tl 0.2165 0.7835 0.2500
Tl 0.7835 0.2165 0.7500
W 0.3024 0.3120 0.7834
W 0.3120 0.3024 0.2834
W 0.6880 0.6976 0.7166
W 0.6976 0.6880 0.2166
O 0.0513 0.2239 0.1887
O 0.0692 0.3766 0.6348
O 0.2239 0.0513 0.6887
O 0.2549 0.3753 0.0595
O 0.3730 0.5872 0.5268
O 0.3753 0.2549 0.5595
O 0.3766 0.0692 0.1348
O 0.4128 0.6270 0.9732
O 0.5872 0.3730 0.0268
O 0.6234 0.9308 0.8652
O 0.6247 0.7451 0.4405
O 0.6270 0.4128 0.4732
O 0.7451 0.6247 0.9405
O 0.7761 0.9487 0.3113
O 0.9308 0.6234 0.3652
O 0.9487 0.7761 0.8113